Er8CS6: calculated powder XRD pattern (λ = 1.5418 Å (Cu Kα)), based on a crystal structure in Alexandria, relaxed with PBE.
No peak broadening, texture or thermal motion is included.

Largest 10 diffraction maxima, in order of falling intensity, 2θ from 10° to 90°:
d = 3.055 Å, I 100; d = 2.468 Å, I 89; d = 2.794 Å, I 81; d = 2.870 Å, I 47; d = 1.728 Å, I 46; d = 4.191 Å, I 38; d = 1.610 Å, I 30; d = 2.062 Å, I 28; d = 1.969 Å, I 23; d = 1.406 Å, I 20

Structural model:
Lattice parameters (Å, degrees): 9.6786 9.6786 3.9383 90.00 90.00 120.00
Element x y z (fractional)
Er: 0.0244 0.7289 0.2630
Er: 0.2711 0.2955 0.2630
Er: 0.2955 0.0244 0.7370
Er: 0.3333 0.6667 0.7449
Er: 0.6667 0.3333 0.2551
Er: 0.7045 0.9756 0.2630
Er: 0.7289 0.7045 0.7370
Er: 0.9756 0.2711 0.7370
C: 0.0000 0.0000 0.5000
S: 0.1295 0.4757 0.2455
S: 0.3461 0.8705 0.2455
S: 0.4757 0.3461 0.7545
S: 0.5243 0.6539 0.2455
S: 0.6539 0.1295 0.7545
S: 0.8705 0.5243 0.7545


Tl2BiB2O6: calculated powder XRD pattern (λ = 1.5418 Å (Cu Kα)), based on a crystal structure in Alexandria, relaxed with PBE.
No peak broadening, texture or thermal motion is included.

Largest 10 diffraction maxima, in order of falling intensity, 2θ from 10° to 90°:
d = 3.086 Å, I 100; d = 2.725 Å, I 63; d = 4.598 Å, I 49; d = 3.463 Å, I 43; d = 1.634 Å, I 27; d = 1.742 Å, I 26; d = 2.043 Å, I 25; d = 2.142 Å, I 22; d = 1.872 Å, I 20; d = 1.684 Å, I 13

Structural model:
Lattice parameters (Å, degrees): 7.4899 7.4899 7.4899 42.67 42.67 42.67
Element x y z (fractional)
Tl: 0.2096 0.2096 0.2096
Tl: 0.7904 0.7904 0.7904
Bi: 0.0000 0.0000 0.0000
B: 0.3988 0.3988 0.3988
B: 0.6012 0.6012 0.6012
O: 0.2560 0.2560 0.6965
O: 0.2560 0.6965 0.2560
O: 0.3035 0.7440 0.7440
O: 0.6965 0.2560 0.2560
O: 0.7440 0.3035 0.7440
O: 0.7440 0.7440 0.3035


NaH3Pd2: calculated powder XRD pattern (λ = 1.5418 Å (Cu Kα)), based on a crystal structure in Alexandria, relaxed with PBE.
No peak broadening, texture or thermal motion is included.

Largest 10 diffraction maxima, in order of falling intensity, 2θ from 10° to 90°:
d = 2.495 Å, I 100; d = 4.322 Å, I 54; d = 1.849 Å, I 53; d = 2.321 Å, I 49; d = 2.752 Å, I 27; d = 1.700 Å, I 19; d = 1.405 Å, I 19; d = 1.205 Å, I 19; d = 1.441 Å, I 17; d = 1.276 Å, I 15

Structural model:
Lattice parameters (Å, degrees): 4.9907 4.9907 2.7520 90.00 90.00 120.00
Element x y z (fractional)
Na: 0.0000 0.0000 0.0000
H: 0.0000 0.5000 0.0000
H: 0.5000 0.0000 0.0000
H: 0.5000 0.5000 0.0000
Pd: 0.3333 0.6667 0.5000
Pd: 0.6667 0.3333 0.5000


Tm4IrPt: calculated powder XRD pattern (λ = 1.5418 Å (Cu Kα)), based on a crystal structure in Alexandria, relaxed with PBE.
No peak broadening, texture or thermal motion is included.

Largest 10 diffraction maxima, in order of falling intensity, 2θ from 10° to 90°:
d = 2.384 Å, I 100; d = 1.376 Å, I 36; d = 3.893 Å, I 31; d = 2.033 Å, I 17; d = 1.687 Å, I 12; d = 3.372 Å, I 10; d = 1.192 Å, I 8; d = 1.547 Å, I 7; d = 1.683 Å, I 6; d = 1.298 Å, I 4

Structural model:
Lattice parameters (Å, degrees): 4.7722 4.7722 6.7320 90.00 90.00 90.00
Element x y z (fractional)
Tm: 0.0000 0.5000 0.2462
Tm: 0.0000 0.5000 0.7538
Tm: 0.5000 0.0000 0.2462
Tm: 0.5000 0.0000 0.7538
Ir: 0.0000 0.0000 0.0000
Pt: 0.5000 0.5000 0.5000